Record 1
This entry pairs a crystal structure of Mo2O with its theoretical powder diffraction line list. Radiation: Cu Kα (weighted mean of Kα1 and Kα2). Structure: a structure optimized by DFT (GGA+U).
Intensities are scaled so that the largest is 100.

The 8 most intense peaks (2θ from 15° to 90°), by intensity:
- 32.05°, d 2.792, rel. 100
- 45.96°, d 1.975, rel. 99
- 76.24°, d 1.249, rel. 33
- 85.10°, d 1.140, rel. 32
- 57.13°, d 1.612, rel. 25
- 67.03°, d 1.396, rel. 15
- 27.67°, d 3.224, rel. 2
- 54.49°, d 1.684, rel. 1

Atomic structure:
Cell: 5.585 5.585 5.585 Å, 90.00 90.00 90.00°
Fractional coordinates of all 12 atoms:
Mo 0.250 0.250 0.250
Mo 0.250 0.250 0.750
Mo 0.250 0.750 0.250
Mo 0.250 0.750 0.750
Mo 0.750 0.250 0.250
Mo 0.750 0.250 0.750
Mo 0.750 0.750 0.250
Mo 0.750 0.750 0.750
O 0.000 0.000 0.000
O 0.000 0.500 0.500
O 0.500 0.000 0.500
O 0.500 0.500 0.000

=====

Record 2
This entry pairs a crystal structure of Mo4O11 with its theoretical powder diffraction line list. Radiation: Cu Kα (weighted mean of Kα1 and Kα2). Structure: a structure optimized by DFT (GGA+U).
Intensities are scaled so that the largest is 100.

The 8 most intense peaks (2θ from 15° to 90°), by intensity:
- 21.94°, d 4.052, rel. 100
- 24.10°, d 3.693, rel. 52
- 25.42°, d 3.504, rel. 24
- 32.67°, d 2.741, rel. 21
- 30.92°, d 2.892, rel. 16
- 48.01°, d 1.895, rel. 15
- 31.97°, d 2.800, rel. 15
- 51.51°, d 1.774, rel. 11

Atomic structure:
Cell: 6.896 5.599 25.208 Å, 90.00 93.89 90.00°
Fractional coordinates of all 60 atoms:
Mo 0.002 0.229 0.336
Mo 0.002 0.271 0.836
Mo 0.317 0.722 0.045
Mo 0.317 0.778 0.545
Mo 0.338 0.736 0.399
Mo 0.338 0.764 0.899
Mo 0.340 0.232 0.220
Mo 0.340 0.268 0.720
Mo 0.660 0.732 0.280
Mo 0.660 0.768 0.780
Mo 0.662 0.236 0.101
Mo 0.662 0.264 0.601
Mo 0.683 0.222 0.455
Mo 0.683 0.278 0.955
Mo 0.998 0.729 0.164
Mo 0.998 0.771 0.664
O 0.118 0.735 0.087
O 0.118 0.765 0.587
O 0.139 0.032 0.682
O 0.139 0.468 0.182
O 0.167 0.236 0.284
O 0.167 0.264 0.784
O 0.167 0.543 0.687
O 0.167 0.957 0.187
O 0.170 0.509 0.377
O 0.170 0.991 0.877
O 0.206 0.003 0.381
O 0.206 0.497 0.881
O 0.228 0.745 0.476
O 0.228 0.755 0.976
O 0.439 0.059 0.555
O 0.439 0.441 0.055
O 0.484 0.545 0.562
O 0.484 0.955 0.062
O 0.493 0.501 0.245
O 0.493 0.999 0.745
O 0.498 0.226 0.153
O 0.498 0.274 0.653
O 0.502 0.726 0.347
O 0.502 0.774 0.847
O 0.507 0.001 0.255
O 0.507 0.499 0.755
O 0.516 0.045 0.938
O 0.516 0.455 0.438
O 0.561 0.559 0.945
O 0.561 0.941 0.445
O 0.772 0.245 0.024
O 0.772 0.255 0.524
O 0.794 0.503 0.119
O 0.794 0.997 0.619
O 0.830 0.009 0.123
O 0.830 0.491 0.623
O 0.833 0.043 0.813
O 0.833 0.457 0.313
O 0.833 0.736 0.216
O 0.833 0.764 0.716
O 0.861 0.532 0.818
O 0.861 0.968 0.318
O 0.882 0.235 0.413
O 0.882 0.265 0.913

=====

Record 3
This entry pairs a crystal structure of Mo3O10 with its theoretical powder diffraction line list. Radiation: Cu Kα (weighted mean of Kα1 and Kα2). Structure: a structure optimized by DFT (GGA+U).
Intensities are scaled so that the largest is 100.

The 8 most intense peaks (2θ from 15° to 90°), by intensity:
- 27.64°, d 3.227, rel. 100
- 17.50°, d 5.067, rel. 89
- 21.74°, d 4.089, rel. 86
- 26.45°, d 3.370, rel. 52
- 35.43°, d 2.533, rel. 31
- 25.66°, d 3.471, rel. 29
- 47.43°, d 1.917, rel. 23
- 34.49°, d 2.600, rel. 20

Atomic structure:
Cell: 7.353 7.882 7.882 Å, 62.49 90.00 90.00°
Fractional coordinates of all 26 atoms:
Mo 0.000 0.000 0.000
Mo 0.245 0.303 0.220
Mo 0.255 0.803 0.720
Mo 0.500 0.500 0.500
Mo 0.745 0.720 0.803
Mo 0.755 0.220 0.303
O 0.000 0.305 0.305
O 0.000 0.745 0.745
O 0.015 0.263 0.838
O 0.185 0.900 0.925
O 0.190 0.153 0.110
O 0.248 0.028 0.519
O 0.252 0.528 0.019
O 0.310 0.653 0.610
O 0.315 0.400 0.425
O 0.485 0.763 0.338
O 0.500 0.245 0.245
O 0.500 0.805 0.805
O 0.515 0.338 0.763
O 0.685 0.425 0.400
O 0.690 0.610 0.653
O 0.748 0.019 0.528
O 0.752 0.519 0.028
O 0.810 0.110 0.153
O 0.815 0.925 0.900
O 0.985 0.838 0.263

=====

Record 4
This entry pairs a crystal structure of Mo3O7 with its theoretical powder diffraction line list. Radiation: Cu Kα (weighted mean of Kα1 and Kα2). Structure: a structure optimized by DFT (GGA+U).
Intensities are scaled so that the largest is 100.

The 8 most intense peaks (2θ from 15° to 90°), by intensity:
- 16.04°, d 5.526, rel. 100
- 27.31°, d 3.265, rel. 49
- 28.06°, d 3.180, rel. 33
- 32.45°, d 2.759, rel. 24
- 39.49°, d 2.282, rel. 21
- 15.42°, d 5.747, rel. 21
- 22.40°, d 3.970, rel. 20
- 44.78°, d 2.024, rel. 18

Atomic structure:
Cell: 11.051 11.495 5.701 Å, 90.00 90.00 90.00°
Fractional coordinates of all 40 atoms:
Mo 0.188 0.022 0.211
Mo 0.188 0.478 0.211
Mo 0.231 0.250 0.707
Mo 0.269 0.750 0.207
Mo 0.312 0.522 0.711
Mo 0.312 0.978 0.711
Mo 0.688 0.022 0.289
Mo 0.688 0.478 0.289
Mo 0.731 0.250 0.793
Mo 0.769 0.750 0.293
Mo 0.812 0.522 0.789
Mo 0.812 0.978 0.789
O 0.039 0.056 0.221
O 0.039 0.444 0.221
O 0.072 0.250 0.703
O 0.229 0.609 0.977
O 0.229 0.891 0.977
O 0.233 0.609 0.439
O 0.233 0.891 0.439
O 0.267 0.109 0.939
O 0.267 0.391 0.939
O 0.271 0.109 0.477
O 0.271 0.391 0.477
O 0.428 0.750 0.203
O 0.461 0.556 0.721
O 0.461 0.944 0.721
O 0.539 0.056 0.279
O 0.539 0.444 0.279
O 0.572 0.250 0.797
O 0.729 0.609 0.523
O 0.729 0.891 0.523
O 0.733 0.609 0.061
O 0.733 0.891 0.061
O 0.767 0.109 0.561
O 0.767 0.391 0.561
O 0.771 0.109 0.023
O 0.771 0.391 0.023
O 0.928 0.750 0.297
O 0.961 0.556 0.779
O 0.961 0.944 0.779

=====

Record 5
This entry pairs a crystal structure of Sn2MoOsO6 with its theoretical powder diffraction line list. Radiation: Cu Kα (weighted mean of Kα1 and Kα2). Structure: a structure optimized by DFT (GGA+U).
Intensities are scaled so that the largest is 100.

The 8 most intense peaks (2θ from 15° to 90°), by intensity:
- 31.18°, d 2.869, rel. 100
- 55.48°, d 1.656, rel. 41
- 44.67°, d 2.028, rel. 29
- 65.02°, d 1.434, rel. 19
- 73.87°, d 1.283, rel. 18
- 18.94°, d 4.685, rel. 8
- 82.34°, d 1.171, rel. 6
- 36.74°, d 2.446, rel. 4

Atomic structure:
Cell: 5.737 5.737 5.737 Å, 60.00 60.00 60.00°
Fractional coordinates of all 10 atoms:
Sn 0.250 0.250 0.250
Sn 0.750 0.750 0.750
Mo 0.000 0.000 0.000
Os 0.500 0.500 0.500
O 0.258 0.258 0.742
O 0.258 0.742 0.258
O 0.258 0.742 0.742
O 0.742 0.258 0.258
O 0.742 0.258 0.742
O 0.742 0.742 0.258

=====

Record 6
This entry pairs a crystal structure of MoP2O7 with its theoretical powder diffraction line list. Radiation: Cu Kα (weighted mean of Kα1 and Kα2). Structure: a structure optimized by DFT (GGA+U).
Intensities are scaled so that the largest is 100.

The 8 most intense peaks (2θ from 15° to 90°), by intensity:
- 21.35°, d 4.162, rel. 100
- 28.03°, d 3.184, rel. 62
- 16.89°, d 5.250, rel. 59
- 22.12°, d 4.018, rel. 53
- 26.97°, d 3.306, rel. 50
- 19.33°, d 4.593, rel. 48
- 29.29°, d 3.049, rel. 47
- 32.95°, d 2.718, rel. 25

Atomic structure:
Cell: 7.035 8.937 9.722 Å, 90.00 109.12 90.00°
Fractional coordinates of all 40 atoms:
Mo 0.201 0.077 0.303
Mo 0.201 0.423 0.803
Mo 0.799 0.577 0.197
Mo 0.799 0.923 0.697
P 0.026 0.713 0.968
P 0.026 0.787 0.468
P 0.404 0.746 0.248
P 0.404 0.754 0.748
P 0.596 0.246 0.252
P 0.596 0.254 0.752
P 0.974 0.213 0.532
P 0.974 0.287 0.032
O 0.018 0.131 0.109
O 0.018 0.369 0.609
O 0.023 0.590 0.860
O 0.023 0.910 0.360
O 0.135 0.192 0.456
O 0.135 0.308 0.956
O 0.239 0.724 0.084
O 0.239 0.776 0.584
O 0.366 0.640 0.353
O 0.366 0.860 0.853
O 0.380 0.582 0.782
O 0.380 0.918 0.282
O 0.396 0.239 0.284
O 0.396 0.261 0.784
O 0.604 0.739 0.216
O 0.604 0.761 0.716
O 0.620 0.082 0.718
O 0.620 0.418 0.218
O 0.634 0.140 0.147
O 0.634 0.360 0.647
O 0.761 0.224 0.416
O 0.761 0.276 0.916
O 0.865 0.692 0.044
O 0.865 0.808 0.544
O 0.977 0.090 0.640
O 0.977 0.410 0.140
O 0.982 0.631 0.391
O 0.982 0.869 0.891

=====

Record 7
This entry pairs a crystal structure of Mo2P3O13 with its theoretical powder diffraction line list. Radiation: Cu Kα (weighted mean of Kα1 and Kα2). Structure: a structure optimized by DFT (GGA+U).
Intensities are scaled so that the largest is 100.

The 8 most intense peaks (2θ from 15° to 90°), by intensity:
- 22.51°, d 3.950, rel. 100
- 17.03°, d 5.207, rel. 70
- 17.96°, d 4.938, rel. 62
- 28.14°, d 3.171, rel. 49
- 26.25°, d 3.395, rel. 39
- 21.22°, d 4.187, rel. 23
- 28.85°, d 3.095, rel. 16
- 35.35°, d 2.539, rel. 15

Atomic structure:
Cell: 6.442 7.548 11.256 Å, 76.38 86.21 80.06°
Fractional coordinates of all 36 atoms:
Mo 0.214 0.210 0.093
Mo 0.240 0.203 0.592
Mo 0.760 0.797 0.408
Mo 0.786 0.790 0.907
P 0.118 0.477 0.309
P 0.260 0.800 0.335
P 0.264 0.934 0.891
P 0.736 0.066 0.109
P 0.740 0.200 0.665
P 0.882 0.523 0.691
O 0.078 0.788 0.430
O 0.091 0.809 0.908
O 0.109 0.455 0.660
O 0.143 0.382 0.199
O 0.221 0.367 0.958
O 0.222 0.099 0.784
O 0.238 0.651 0.254
O 0.243 0.989 0.249
O 0.247 0.351 0.415
O 0.268 0.999 0.012
O 0.311 0.984 0.572
O 0.471 0.731 0.397
O 0.478 0.807 0.882
O 0.522 0.193 0.118
O 0.529 0.269 0.603
O 0.689 0.016 0.428
O 0.732 0.001 0.988
O 0.753 0.649 0.585
O 0.757 0.011 0.751
O 0.762 0.349 0.746
O 0.778 0.901 0.216
O 0.779 0.633 0.042
O 0.857 0.618 0.801
O 0.891 0.545 0.340
O 0.909 0.191 0.092
O 0.922 0.212 0.570